[1]
Diffraction record for CaFe3Si2O9. The XRD peak list is calculated, not measured: it uses the GGA+U geometry in the Materials Project and Cu Kα, 1.54184 Å.
Intensities are scaled so that the largest is 100.

Structure:
```
data_CaFe3Si2O9
_chemical_formula_sum 'Ca4 Fe12 Si8 O36'
_space_group_name_H-M_alt 'P n m a'
_space_group_IT_number 62
_space_group_name_Hall '-P 2ac 2n'
_cell_length_a 13.170
_cell_length_b 5.931
_cell_length_c 8.853
_cell_angle_alpha 90.00
_cell_angle_beta 90.00
_cell_angle_gamma 90.00
loop_
_atom_site_label
_atom_site_type_symbol
_atom_site_fract_x
_atom_site_fract_y
_atom_site_fract_z
_atom_site_occupancy
Ca1 Ca 0.183 0.250 0.128 1
Fe1 Fe 0.067 0.750 0.762 1
Fe2 Fe 0.112 0.004 0.444 1
Si1 Si 0.034 0.750 0.133 1
Si2 Si 0.185 0.250 0.766 1
O1 O 0.015 0.750 0.525 1
O2 O 0.058 0.518 0.231 1
O3 O 0.092 0.250 0.893 1
O4 O 0.092 0.750 0.977 1
O5 O 0.174 0.018 0.664 1
O6 O 0.192 0.250 0.384 1
O7 O 0.216 0.750 0.386 1
```

Largest 8 diffraction maxima, by angle, 10 to 90 degrees two-theta:
(1 0 1), 2θ 12.0, I 66; (3 0 1), 2θ 22.6, I 28; (4 1 0), 2θ 31.1, I 100; (1 2 1), 2θ 32.6, I 75; (2 0 3), 2θ 33.3, I 59; (4 2 1), 2θ 42.3, I 44; (6 2 3), 2θ 61.2, I 32; (0 4 0), 2θ 62.7, I 66



[2]
Diffraction record for CaFe3Si4O12. The XRD peak list is calculated, not measured: it uses the GGA+U geometry in the Materials Project and Cu Kα, 1.54184 Å.
Intensities are scaled so that the largest is 100.

Structure:
```
data_CaFe3Si4O12
_chemical_formula_sum 'Ca4 Fe12 Si16 O48'
_space_group_name_H-M_alt 'C 1 2 1'
_space_group_IT_number 5
_space_group_name_Hall 'C 2y'
_cell_length_a 12.304
_cell_length_b 9.184
_cell_length_c 9.940
_cell_angle_alpha 90.00
_cell_angle_beta 124.01
_cell_angle_gamma 90.00
loop_
_atom_site_label
_atom_site_type_symbol
_atom_site_fract_x
_atom_site_fract_y
_atom_site_fract_z
_atom_site_occupancy
Ca1 Ca 0.000 0.000 0.000 1
Ca2 Ca 0.000 0.498 0.500 1
Fe1 Fe 0.000 0.110 0.500 1
Fe2 Fe 0.000 0.609 0.000 1
Fe3 Fe 0.250 0.301 0.751 1
Fe4 Fe 0.250 0.443 0.250 1
Si1 Si 0.000 0.788 0.295 1
Si2 Si 0.001 0.287 0.206 1
Si3 Si 0.245 0.608 0.954 1
Si4 Si 0.246 0.110 0.456 1
O1 O 0.046 0.294 0.670 1
O2 O 0.046 0.795 0.170 1
O3 O 0.058 0.435 0.177 1
O4 O 0.058 0.936 0.677 1
O5 O 0.121 0.216 0.972 1
O6 O 0.121 0.718 0.473 1
O7 O 0.123 0.167 0.274 1
O8 O 0.123 0.668 0.774 1
O9 O 0.200 0.612 0.080 1
O10 O 0.202 0.117 0.584 1
O11 O 0.209 0.454 0.568 1
O12 O 0.210 0.952 0.074 1
```

Largest 8 diffraction maxima, by angle, 10 to 90 degrees two-theta:
(1 1 -1), 2θ 13.4, I 33; (2 2 -2), 2θ 27.0, I 24; (0 2 2), 2θ 29.1, I 100; (3 1 -3), 2θ 29.8, I 52; (1 3 1), 2θ 34.1, I 58; (4 0 0), 2θ 35.2, I 94; (1 3 -3), 2θ 41.3, I 38; (7 3 -5), 2θ 64.6, I 27



[3]
Diffraction record for Ca4Fe5Si6O28. The XRD peak list is calculated, not measured: it uses the GGA+U geometry in the Materials Project and Cu Kα, 1.54184 Å.
Intensities are scaled so that the largest is 100.

Structure:
```
data_Ca4Fe5Si6O28
_chemical_formula_sum 'Ca4 Fe5 Si6 O28'
_space_group_name_H-M_alt 'P -1'
_space_group_IT_number 2
_space_group_name_Hall '-P 1'
_cell_length_a 6.030
_cell_length_b 8.886
_cell_length_c 10.357
_cell_angle_alpha 94.99
_cell_angle_beta 106.10
_cell_angle_gamma 91.50
loop_
_atom_site_label
_atom_site_type_symbol
_atom_site_fract_x
_atom_site_fract_y
_atom_site_fract_z
_atom_site_occupancy
Ca1 Ca 0.150 0.240 0.325 1
Ca2 Ca 0.338 0.308 0.686 1
Fe1 Fe 0.250 0.756 0.987 1
Fe2 Fe 0.257 0.245 0.011 1
Fe3 Fe 0.500 0.000 0.500 1
Si1 Si 0.093 0.554 0.184 1
Si2 Si 0.248 0.654 0.493 1
Si3 Si 0.415 0.965 0.802 1
O1 O 0.012 0.736 0.495 1
O2 O 0.030 0.871 0.048 1
O3 O 0.057 0.376 0.117 1
O4 O 0.147 0.358 0.852 1
O5 O 0.184 0.536 0.348 1
O6 O 0.198 0.865 0.825 1
O7 O 0.221 0.989 0.375 1
O8 O 0.300 0.646 0.146 1
O9 O 0.313 0.550 0.618 1
O10 O 0.353 0.136 0.170 1
O11 O 0.363 0.027 0.652 1
O12 O 0.452 0.121 0.908 1
O13 O 0.464 0.642 0.930 1
O14 O 0.481 0.760 0.497 1
```

Largest 8 diffraction maxima, by angle, 10 to 90 degrees two-theta:
(0 0 2), 2θ 17.9, I 66; (1 1 0), 2θ 18.8, I 45; (0 2 0), 2θ 20.1, I 41; (0 2 1), 2θ 22.8, I 82; (-1 1 3), 2θ 29.6, I 100; (0 2 -3), 2θ 32.2, I 50; (2 0 1), 2θ 34.7, I 30; (-2 4 3), 2θ 55.7, I 47



[4]
Diffraction record for Ca3Fe2Si4O14. The XRD peak list is calculated, not measured: it uses the GGA+U geometry in the Materials Project and Cu Kα, 1.54184 Å.
Intensities are scaled so that the largest is 100.

Structure:
```
data_Ca3Fe2Si4O14
_chemical_formula_sum 'Ca12 Fe8 Si16 O56'
_space_group_name_H-M_alt 'C 1 2/c 1'
_space_group_IT_number 15
_space_group_name_Hall '-C 2yc'
_cell_length_a 17.223
_cell_length_b 7.754
_cell_length_c 10.178
_cell_angle_alpha 90.00
_cell_angle_beta 124.24
_cell_angle_gamma 90.00
loop_
_atom_site_label
_atom_site_type_symbol
_atom_site_fract_x
_atom_site_fract_y
_atom_site_fract_z
_atom_site_occupancy
Ca1 Ca 0.000 0.153 0.250 1
Ca2 Ca 0.198 0.464 0.460 1
Fe1 Fe 0.000 0.292 0.750 1
Fe2 Fe 0.000 0.500 0.000 1
Si1 Si 0.126 0.158 0.647 1
Si2 Si 0.175 0.210 0.154 1
O1 O 0.053 0.094 0.690 1
O2 O 0.072 0.466 0.725 1
O3 O 0.083 0.293 0.497 1
O4 O 0.098 0.331 0.005 1
O5 O 0.165 0.007 0.091 1
O6 O 0.182 0.212 0.319 1
O7 O 0.223 0.226 0.817 1
```

Largest 8 diffraction maxima, by angle, 10 to 90 degrees two-theta:
(1 1 0), 2θ 13.0, I 38; (1 1 2), 2θ 27.8, I 100; (5 1 -2), 2θ 28.6, I 78; (4 2 -1), 2θ 31.2, I 55; (0 2 2), 2θ 31.4, I 62; (4 2 -2), 2θ 31.9, I 84; (4 0 -4), 2θ 35.3, I 37; (6 2 -2), 2θ 39.0, I 73



[5]
Diffraction record for Ca2Fe3Si3O14. The XRD peak list is calculated, not measured: it uses the GGA+U geometry in the Materials Project and Cu Kα, 1.54184 Å.
Intensities are scaled so that the largest is 100.

Structure:
```
data_Ca2Fe3Si3O14
_chemical_formula_sum 'Ca8 Fe12 Si12 O56'
_space_group_name_H-M_alt 'C 1 2/m 1'
_space_group_IT_number 12
_space_group_name_Hall '-C 2y'
_cell_length_a 20.052
_cell_length_b 6.036
_cell_length_c 8.788
_cell_angle_alpha 90.00
_cell_angle_beta 96.48
_cell_angle_gamma 90.00
loop_
_atom_site_label
_atom_site_type_symbol
_atom_site_fract_x
_atom_site_fract_y
_atom_site_fract_z
_atom_site_occupancy
Ca1 Ca 0.154 0.000 0.174 1
Ca2 Ca 0.160 0.500 0.747 1
Fe1 Fe 0.006 0.246 0.745 1
Fe2 Fe 0.250 0.250 0.500 1
Si1 Si 0.092 0.500 0.057 1
Si2 Si 0.098 0.000 0.536 1
Si3 Si 0.247 0.500 0.161 1
O1 O 0.024 0.500 0.371 1
O2 O 0.035 0.000 0.862 1
O3 O 0.045 0.000 0.378 1
O4 O 0.059 0.500 0.876 1
O5 O 0.073 0.276 0.144 1
O6 O 0.086 0.224 0.636 1
O7 O 0.174 0.000 0.475 1
O8 O 0.174 0.500 0.043 1
O9 O 0.193 0.000 0.945 1
O10 O 0.194 0.500 0.503 1
O11 O 0.247 0.270 0.266 1
```

Largest 8 diffraction maxima, by angle, 10 to 90 degrees two-theta:
(4 0 0), 2θ 17.8, I 72; (2 0 2), 2θ 23.1, I 100; (5 1 1), 2θ 29.6, I 90; (6 0 -2), 2θ 32.0, I 60; (4 2 0), 2θ 34.8, I 71; (2 2 2), 2θ 37.9, I 39; (4 2 4), 2θ 56.8, I 49; (0 4 0), 2θ 61.5, I 77